No. 1
Simulated powder XRD pattern of Cd4O5 for Cu Ka, from DFT lattice parameters and positions (PBE).

Main lines, sorted by position (2θ = 15–90°):
2θ 30.84, rel. 1000
2θ 31.70, rel. 403
2θ 42.90, rel. 93
2θ 45.44, rel. 250
2θ 54.31, rel. 244
2θ 55.93, rel. 355
2θ 64.26, rel. 110
2θ 66.21, rel. 74
2θ 71.11, rel. 74
2θ 88.54, rel. 86

Cell and atoms:
```
9
Lattice="3.992 0.000 0.000 0.000 3.992 0.000 0.000 0.000 8.433" Properties=species:S:1:pos:R:3 pbc="T T T"
Cd 0.000 0.000 0.000
Cd 0.000 0.000 4.217
Cd 1.996 1.996 1.989
Cd 1.996 1.996 6.444
O 0.000 1.996 1.382
O 0.000 1.996 7.052
O 1.996 0.000 1.382
O 1.996 0.000 7.052
O 1.996 1.996 4.217
```

---

No. 2
Simulated powder XRD pattern of ErSbN2O for Cu Ka, from DFT lattice parameters and positions (PBE).

Main lines, sorted by position (2θ = 15–90°):
2θ 25.23, rel. 107
2θ 31.61, rel. 200
2θ 31.79, rel. 1000
2θ 32.92, rel. 223
2θ 44.85, rel. 131
2θ 46.28, rel. 159
2θ 52.57, rel. 95
2θ 56.74, rel. 111
2θ 58.06, rel. 192
2θ 66.42, rel. 94

Cell and atoms:
```
20
Lattice="5.661 0.000 0.000 0.000 8.083 0.000 0.000 0.000 5.442" Properties=species:S:1:pos:R:3 pbc="T T T"
Er 0.359 2.021 0.149
Er 2.472 6.062 2.870
Er 3.189 2.021 2.572
Er 5.302 6.062 5.293
Sb 0.000 0.000 2.721
Sb 0.000 4.042 2.721
Sb 2.830 0.000 0.000
Sb 2.830 4.042 0.000
N 1.127 4.565 4.379
N 1.127 7.560 4.379
N 1.704 0.523 1.657
N 1.704 3.518 1.657
N 3.957 4.565 3.785
N 3.957 7.560 3.785
N 4.534 0.523 1.064
N 4.534 3.518 1.064
O 0.253 6.062 2.036
O 2.578 2.021 4.757
O 3.083 6.062 0.686
O 5.408 2.021 3.407
```

---

No. 3
Simulated powder XRD pattern of Pu3Mg4 for Cu Ka, from DFT lattice parameters and positions (PBE).

Main lines, sorted by position (2θ = 15–90°):
2θ 26.44, rel. 282
2θ 28.93, rel. 213
2θ 30.86, rel. 273
2θ 34.48, rel. 225
2θ 35.46, rel. 1000
2θ 36.47, rel. 153
2θ 46.94, rel. 176
2θ 54.88, rel. 187
2θ 62.40, rel. 200
2θ 66.44, rel. 212

Cell and atoms:
```
14
Lattice="8.849 0.000 0.000 0.000 5.203 0.000 -4.420 0.000 7.669" Properties=species:S:1:pos:R:3 pbc="T T T"
Pu -0.586 1.301 1.829
Pu -2.542 1.301 7.261
Pu 1.292 3.902 1.425
Pu 3.137 1.301 6.245
Pu 6.972 3.902 0.408
Pu 5.016 3.902 5.841
Mg -1.281 3.902 3.762
Mg 0.003 1.301 5.111
Mg -0.523 3.902 6.900
Mg 2.616 1.301 2.992
Mg 1.814 3.902 4.677
Mg 4.952 1.301 0.769
Mg 4.426 3.902 2.559
Mg 5.710 1.301 3.907
```

---

No. 4
Simulated powder XRD pattern of LaPr2Nb2P6 for Cu Ka, from DFT lattice parameters and positions (PBE).

Main lines, sorted by position (2θ = 15–90°):
2θ 15.31, rel. 218
2θ 26.50, rel. 893
2θ 26.87, rel. 1000
2θ 32.99, rel. 363
2θ 35.40, rel. 489
2θ 37.82, rel. 726
2θ 39.85, rel. 266
2θ 47.01, rel. 438
2θ 54.56, rel. 245
2θ 61.90, rel. 207

Cell and atoms:
```
11
Lattice="-2.379 2.379 11.573 2.379 -2.379 11.573 2.379 2.379 -11.573" Properties=species:S:1:pos:R:3 pbc="T T T"
La 0.000 0.000 0.000
Pr 0.000 0.000 3.896
Pr 0.000 0.000 19.249
Nb 0.000 0.000 9.123
Nb 0.000 0.000 14.023
P 2.379 0.000 1.893
P 0.000 0.000 6.798
P 2.379 0.000 9.680
P 0.000 2.379 1.893
P 0.000 0.000 16.348
P 0.000 2.379 9.680
```